The following is a calculated powder X-ray diffraction pattern of Ac2Sm9Ho. It was derived from a structure optimized by DFT (GGA-PBE), using Cu Kα.

Cell and atoms:
Cell lengths 5.1998, 5.1998, 15.6057 Å; angles 90.00, 90.00, 90.00 degrees
Fractional coordinates of all 12 atoms:
Ac 0.0000 0.0000 0.1694
Ac 0.0000 0.0000 0.8306
Sm 0.0000 0.5000 0.0000
Sm 0.0000 0.5000 0.3402
Sm 0.0000 0.5000 0.6598
Sm 0.5000 0.0000 0.0000
Sm 0.5000 0.0000 0.3402
Sm 0.5000 0.0000 0.6598
Sm 0.5000 0.5000 0.1702
Sm 0.5000 0.5000 0.5000
Sm 0.5000 0.5000 0.8298
Ho 0.0000 0.0000 0.5000

Principal peaks in the range 2θ from 10° to 90°, sorted by position:
2θ = 29.8°, I 1000, (1 1 3); 2θ = 34.5°, I 508, (2 0 0); 2θ = 49.6°, I 364, (2 2 0); 2θ = 58.9°, I 433, (3 1 3); 2θ = 80.5°, I 174, (3 3 3); 2θ = 83.1°, I 162, (4 2 0)